Diffraction record for RbCrCl3. The X-ray diffraction stick pattern is calculated, not measured: it uses DFT lattice parameters and positions (GGA-PBE) and CuKα.

Crystal structure
Cell: 7.1901 7.1901 12.9112 Å, 93.56 93.56 59.42°
Positions (direct):
Rb: 0.1498 0.1845 0.3712
Rb: 0.1845 0.1498 0.8712
Rb: 0.8155 0.8502 0.1288
Rb: 0.8502 0.8155 0.6288
Cr: 0.4602 0.5398 0.2500
Cr: 0.5000 0.5000 0.0000
Cr: 0.5000 0.5000 0.5000
Cr: 0.5398 0.4602 0.7500
Cl: 0.1462 0.6884 0.3503
Cl: 0.2280 0.6265 0.8590
Cl: 0.3116 0.8538 0.1497
Cl: 0.3212 0.3532 0.0847
Cl: 0.3532 0.3212 0.5847
Cl: 0.3735 0.7720 0.6410
Cl: 0.6265 0.2280 0.3590
Cl: 0.6468 0.6788 0.4153
Cl: 0.6788 0.6468 0.9153
Cl: 0.6884 0.1462 0.8503
Cl: 0.7720 0.3735 0.1410
Cl: 0.8538 0.3116 0.6497

Peak list (10 most intense, 2θ = 10–90°, in order of rising 2θ)
- 2θ = 14.29°, I = 67
- 2θ = 19.54°, I = 53
- 2θ = 24.81°, I = 90
- 2θ = 24.99°, I = 45
- 2θ = 30.99°, I = 62
- 2θ = 31.64°, I = 92
- 2θ = 31.78°, I = 56
- 2θ = 32.56°, I = 100
- 2θ = 32.83°, I = 54
- 2θ = 50.91°, I = 71

=====

Diffraction record for RbCrCl3. The X-ray diffraction stick pattern is calculated, not measured: it uses DFT lattice parameters and positions (GGA-PBE) and CuKα.

Crystal structure
Cell: 7.1355 7.1355 6.3126 Å, 91.98 91.98 59.68°
Positions (direct):
Rb: 0.1658 0.1658 0.2452
Rb: 0.8342 0.8342 0.7548
Cr: 0.5000 0.5000 0.0000
Cr: 0.5000 0.5000 0.5000
Cl: 0.1823 0.6576 0.2198
Cl: 0.3368 0.3368 0.6905
Cl: 0.3424 0.8177 0.7802
Cl: 0.6576 0.1823 0.2198
Cl: 0.6632 0.6632 0.3095
Cl: 0.8177 0.3424 0.7802

Peak list (10 most intense, 2θ = 10–90°, in order of rising 2θ)
- 2θ = 14.36°, I = 40
- 2θ = 24.97°, I = 56
- 2θ = 25.08°, I = 28
- 2θ = 28.30°, I = 31
- 2θ = 31.72°, I = 38
- 2θ = 32.11°, I = 100
- 2θ = 32.61°, I = 71
- 2θ = 32.76°, I = 35
- 2θ = 40.54°, I = 30
- 2θ = 51.24°, I = 40

=====

Diffraction record for Tb8CrTe13Cl. The X-ray diffraction stick pattern is calculated, not measured: it uses DFT lattice parameters and positions (GGA-PBE) and CuKα.

Crystal structure
Cell: 13.4666 13.4666 23.8352 Å, 90.00 90.00 162.07°
Positions (direct):
Tb: 0.0178 0.9822 0.5000
Tb: 0.0523 0.9477 0.8341
Tb: 0.1074 0.8926 0.6623
Tb: 0.1478 0.8522 0.9953
Tb: 0.2754 0.7246 0.6827
Tb: 0.3067 0.6933 0.0095
Tb: 0.3680 0.6320 0.8426
Tb: 0.4406 0.5594 0.6750
Tb: 0.5594 0.4406 0.1750
Tb: 0.6320 0.3680 0.3426
Tb: 0.6933 0.3067 0.5095
Tb: 0.7246 0.2754 0.1827
Tb: 0.8522 0.1478 0.4953
Tb: 0.8926 0.1074 0.1623
Tb: 0.9477 0.0523 0.3341
Tb: 0.9822 0.0178 0.0000
Cr: 0.2912 0.7088 0.3367
Cr: 0.7088 0.2912 0.8367
Te: 0.0618 0.9382 0.2778
Te: 0.1302 0.8698 0.4411
Te: 0.1436 0.8564 0.1359
Te: 0.1734 0.8266 0.7732
Te: 0.2024 0.7976 0.2798
Te: 0.2437 0.7563 0.9010
Te: 0.2746 0.7254 0.5433
Te: 0.3043 0.6957 0.1423
Te: 0.3771 0.6229 0.3972
Te: 0.4138 0.5862 0.0627
Te: 0.4339 0.5661 0.5377
Te: 0.4498 0.5502 0.2365
Te: 0.4814 0.5186 0.8990
Te: 0.5186 0.4814 0.3990
Te: 0.5502 0.4498 0.7365
Te: 0.5661 0.4339 0.0377
Te: 0.5862 0.4138 0.5627
Te: 0.6229 0.3771 0.8972
Te: 0.6957 0.3043 0.6423
Te: 0.7254 0.2746 0.0433
Te: 0.7563 0.2437 0.4010
Te: 0.7976 0.2024 0.7798
Te: 0.8266 0.1734 0.2732
Te: 0.8564 0.1436 0.6359
Te: 0.8698 0.1302 0.9411
Te: 0.9382 0.0618 0.7778
Cl: 0.0005 0.9995 0.1312
Cl: 0.9995 0.0005 0.6312

Peak list (10 most intense, 2θ = 10–90°, in order of rising 2θ)
- 2θ = 27.86°, I = 29
- 2θ = 29.34°, I = 38
- 2θ = 30.10°, I = 34
- 2θ = 30.79°, I = 27
- 2θ = 31.18°, I = 54
- 2θ = 32.65°, I = 100
- 2θ = 33.04°, I = 42
- 2θ = 39.64°, I = 45
- 2θ = 43.10°, I = 59
- 2θ = 59.98°, I = 27

=====

Diffraction record for CsCl. The X-ray diffraction stick pattern is calculated, not measured: it uses DFT lattice parameters and positions (GGA-PBE) and CuKα.

Crystal structure
Cell: 4.9936 4.9936 4.9936 Å, 60.00 60.00 60.00°
Positions (direct):
Cs: 0.0000 0.0000 0.0000
Cl: 0.5000 0.5000 0.5000

Peak list (10 most intense, 2θ = 10–90°, in order of rising 2θ)
- 2θ = 21.80°, I = 57
- 2θ = 25.22°, I = 100
- 2θ = 35.97°, I = 76
- 2θ = 42.45°, I = 32
- 2θ = 44.44°, I = 27
- 2θ = 51.78°, I = 13
- 2θ = 56.83°, I = 14
- 2θ = 58.44°, I = 35
- 2θ = 64.66°, I = 26
- 2θ = 81.84°, I = 17

=====

Diffraction record for CsCl. The X-ray diffraction stick pattern is calculated, not measured: it uses DFT lattice parameters and positions (GGA-PBE) and CuKα.

Crystal structure
Cell: 4.2091 4.2091 4.2091 Å, 90.00 90.00 90.00°
Positions (direct):
Cs: 0.0000 0.0000 0.0000
Cl: 0.5000 0.5000 0.5000

Peak list (10 most intense, 2θ = 10–90°, in order of rising 2θ)
- 2θ = 21.11°, I = 36
- 2θ = 30.02°, I = 100
- 2θ = 36.99°, I = 12
- 2θ = 42.98°, I = 18
- 2θ = 48.35°, I = 17
- 2θ = 53.31°, I = 37
- 2θ = 62.40°, I = 12
- 2θ = 66.66°, I = 9
- 2θ = 70.79°, I = 16
- 2θ = 86.52°, I = 19

=====

Diffraction record for Cs2CuCl4. The X-ray diffraction stick pattern is calculated, not measured: it uses DFT lattice parameters and positions (GGA-PBE) and CuKα.

Crystal structure
Cell: 9.9616 7.7824 12.3900 Å, 90.00 90.00 90.00°
Positions (direct):
Cs: 0.0089 0.2500 0.1732
Cs: 0.1338 0.2500 0.6023
Cs: 0.3662 0.7500 0.1023
Cs: 0.4911 0.7500 0.6732
Cs: 0.5089 0.2500 0.3268
Cs: 0.6338 0.2500 0.8977
Cs: 0.8662 0.7500 0.3977
Cs: 0.9911 0.7500 0.8268
Cu: 0.2319 0.2500 0.9160
Cu: 0.2681 0.7500 0.4160
Cu: 0.7319 0.2500 0.5840
Cu: 0.7681 0.7500 0.0840
Cl: 0.0075 0.2500 0.8809
Cl: 0.1421 0.7500 0.5693
Cl: 0.2175 0.0164 0.3595
Cl: 0.2175 0.4836 0.3595
Cl: 0.2825 0.5164 0.8595
Cl: 0.2825 0.9836 0.8595
Cl: 0.3579 0.2500 0.0693
Cl: 0.4925 0.7500 0.3809
Cl: 0.5075 0.2500 0.6191
Cl: 0.6421 0.7500 0.9307
Cl: 0.7175 0.0164 0.1405
Cl: 0.7175 0.4836 0.1405
Cl: 0.7825 0.5164 0.6405
Cl: 0.7825 0.9836 0.6405
Cl: 0.8579 0.2500 0.4307
Cl: 0.9925 0.7500 0.1191

Peak list (10 most intense, 2θ = 10–90°, in order of rising 2θ)
- 2θ = 20.38°, I = 63
- 2θ = 21.18°, I = 31
- 2θ = 22.37°, I = 49
- 2θ = 22.86°, I = 100
- 2θ = 24.40°, I = 51
- 2θ = 27.82°, I = 41
- 2θ = 28.53°, I = 29
- 2θ = 28.82°, I = 39
- 2θ = 30.55°, I = 34
- 2θ = 36.50°, I = 33

=====

Diffraction record for Cs3Cu2Cl5. The X-ray diffraction stick pattern is calculated, not measured: it uses DFT lattice parameters and positions (GGA-PBE) and CuKα.

Crystal structure
Cell: 9.4783 10.6363 13.3029 Å, 90.00 90.00 90.00°
Positions (direct):
Cs: 0.0387 0.0132 0.1790
Cs: 0.0387 0.4868 0.1790
Cs: 0.1073 0.7500 0.4540
Cs: 0.3927 0.2500 0.9540
Cs: 0.4613 0.5132 0.6790
Cs: 0.4613 0.9868 0.6790
Cs: 0.5387 0.0132 0.3210
Cs: 0.5387 0.4868 0.3210
Cs: 0.6073 0.7500 0.0460
Cs: 0.8927 0.2500 0.5460
Cs: 0.9613 0.5132 0.8210
Cs: 0.9613 0.9868 0.8210
Cu: 0.2077 0.7500 0.0490
Cu: 0.2351 0.2500 0.3628
Cu: 0.2649 0.7500 0.8628
Cu: 0.2923 0.2500 0.5490
Cu: 0.7077 0.7500 0.4510
Cu: 0.7351 0.2500 0.1372
Cu: 0.7649 0.7500 0.6372
Cu: 0.7923 0.2500 0.9510
Cl: 0.0235 0.2500 0.9892
Cl: 0.1792 0.7500 0.7069
Cl: 0.1853 0.0668 0.4409
Cl: 0.1853 0.4332 0.4409
Cl: 0.1969 0.2500 0.7027
Cl: 0.3031 0.7500 0.2027
Cl: 0.3147 0.5668 0.9409
Cl: 0.3147 0.9332 0.9409
Cl: 0.3208 0.2500 0.2069
Cl: 0.4765 0.7500 0.4892
Cl: 0.5235 0.2500 0.5108
Cl: 0.6792 0.7500 0.7931
Cl: 0.6853 0.0668 0.0591
Cl: 0.6853 0.4332 0.0591
Cl: 0.6969 0.2500 0.7973
Cl: 0.8031 0.7500 0.2973
Cl: 0.8147 0.5668 0.5591
Cl: 0.8147 0.9332 0.5591
Cl: 0.8208 0.2500 0.2931
Cl: 0.9765 0.7500 0.0108

Peak list (10 most intense, 2θ = 10–90°, in order of rising 2θ)
- 2θ = 20.28°, I = 66
- 2θ = 21.39°, I = 90
- 2θ = 22.13°, I = 82
- 2θ = 25.17°, I = 92
- 2θ = 27.84°, I = 99
- 2θ = 28.58°, I = 74
- 2θ = 30.27°, I = 67
- 2θ = 33.71°, I = 100
- 2θ = 40.69°, I = 33
- 2θ = 42.49°, I = 35

=====

Diffraction record for Cs2DyCuCl6. The X-ray diffraction stick pattern is calculated, not measured: it uses DFT lattice parameters and positions (GGA-PBE) and CuKα.

Crystal structure
Cell: 7.4456 7.4456 7.4456 Å, 60.00 60.00 60.00°
Positions (direct):
Cs: 0.2500 0.2500 0.2500
Cs: 0.7500 0.7500 0.7500
Dy: 0.0000 0.0000 0.0000
Cu: 0.5000 0.5000 0.5000
Cl: 0.2520 0.2520 0.7480
Cl: 0.2520 0.7480 0.2520
Cl: 0.2520 0.7480 0.7480
Cl: 0.7480 0.2520 0.2520
Cl: 0.7480 0.2520 0.7480
Cl: 0.7480 0.7480 0.2520

Peak list (10 most intense, 2θ = 10–90°, in order of rising 2θ)
- 2θ = 23.90°, I = 100
- 2θ = 29.38°, I = 15
- 2θ = 34.06°, I = 58
- 2θ = 42.04°, I = 46
- 2θ = 48.93°, I = 39
- 2θ = 55.17°, I = 21
- 2θ = 60.96°, I = 13
- 2θ = 66.44°, I = 24
- 2θ = 76.81°, I = 12
- 2θ = 81.82°, I = 17

=====

Diffraction record for Cs2GaCuCl6. The X-ray diffraction stick pattern is calculated, not measured: it uses DFT lattice parameters and positions (GGA-PBE) and CuKα.

Crystal structure
Cell: 7.1784 7.1784 7.1784 Å, 60.00 60.00 60.00°
Positions (direct):
Cs: 0.2500 0.2500 0.2500
Cs: 0.7500 0.7500 0.7500
Ga: 0.0000 0.0000 0.0000
Cu: 0.5000 0.5000 0.5000
Cl: 0.2432 0.2432 0.7568
Cl: 0.2432 0.7568 0.2432
Cl: 0.2432 0.7568 0.7568
Cl: 0.7568 0.2432 0.2432
Cl: 0.7568 0.2432 0.7568
Cl: 0.7568 0.7568 0.2432

Peak list (10 most intense, 2θ = 10–90°, in order of rising 2θ)
- 2θ = 24.81°, I = 100
- 2θ = 30.50°, I = 41
- 2θ = 35.37°, I = 69
- 2θ = 43.68°, I = 45
- 2θ = 50.88°, I = 46
- 2θ = 57.41°, I = 20
- 2θ = 60.49°, I = 15
- 2θ = 63.49°, I = 15
- 2θ = 69.26°, I = 23
- 2θ = 85.57°, I = 20

=====

Diffraction record for Cs2InCuCl6. The X-ray diffraction stick pattern is calculated, not measured: it uses DFT lattice parameters and positions (GGA-PBE) and CuKα.

Crystal structure
Cell: 7.3155 7.3155 7.3155 Å, 60.00 60.00 60.00°
Positions (direct):
Cs: 0.2500 0.2500 0.2500
Cs: 0.7500 0.7500 0.7500
In: 0.0000 0.0000 0.0000
Cu: 0.5000 0.5000 0.5000
Cl: 0.2517 0.2517 0.7483
Cl: 0.2517 0.7483 0.2517
Cl: 0.2517 0.7483 0.7483
Cl: 0.7483 0.2517 0.2517
Cl: 0.7483 0.2517 0.7483
Cl: 0.7483 0.7483 0.2517

Peak list (10 most intense, 2θ = 10–90°, in order of rising 2θ)
- 2θ = 24.33°, I = 100
- 2θ = 29.92°, I = 25
- 2θ = 34.68°, I = 63
- 2θ = 42.82°, I = 45
- 2θ = 49.86°, I = 42
- 2θ = 56.24°, I = 20
- 2θ = 62.16°, I = 14
- 2θ = 67.78°, I = 23
- 2θ = 78.44°, I = 11
- 2θ = 83.59°, I = 18

=====

Diffraction record for Cs2PrCuCl6. The X-ray diffraction stick pattern is calculated, not measured: it uses DFT lattice parameters and positions (GGA-PBE) and CuKα.

Crystal structure
Cell: 7.5712 7.5712 7.5712 Å, 60.00 60.00 60.00°
Positions (direct):
Cs: 0.2500 0.2500 0.2500
Cs: 0.7500 0.7500 0.7500
Pr: 0.0000 0.0000 0.0000
Cu: 0.5000 0.5000 0.5000
Cl: 0.2580 0.2580 0.7420
Cl: 0.2580 0.7420 0.2580
Cl: 0.2580 0.7420 0.7420
Cl: 0.7420 0.2580 0.2580
Cl: 0.7420 0.2580 0.7420
Cl: 0.7420 0.7420 0.2580

Peak list (10 most intense, 2θ = 10–90°, in order of rising 2θ)
- 2θ = 23.50°, I = 100
- 2θ = 28.89°, I = 18
- 2θ = 33.48°, I = 60
- 2θ = 41.31°, I = 46
- 2θ = 48.07°, I = 41
- 2θ = 54.18°, I = 21
- 2θ = 59.84°, I = 14
- 2θ = 65.20°, I = 24
- 2θ = 80.18°, I = 17
- 2θ = 89.73°, I = 14